Theoretical PXRD pattern of TiAl3Pt4 for CuKα, from a GGA-PBE-relaxed structure.
No peak broadening, texture or thermal motion is included.

Atomic structure:
abc: 9.1839 5.6449 4.6343
angles: 90.00 90.00 90.00
Sites, in units of the cell vectors:
Ti (0.0000, 0.0000, 0.0000)
Ti (0.5000, 0.0000, 0.0000)
Al (0.0000, 0.5000, 0.0000)
Al (0.2500, 0.0000, 0.4265)
Al (0.2500, 0.5000, 0.4194)
Al (0.5000, 0.5000, 0.0000)
Al (0.7500, 0.0000, 0.5735)
Al (0.7500, 0.5000, 0.5806)
Pt (0.0000, 0.2514, 0.5000)
Pt (0.0000, 0.7486, 0.5000)
Pt (0.2500, 0.2494, 0.9187)
Pt (0.2500, 0.7506, 0.9187)
Pt (0.5000, 0.2514, 0.5000)
Pt (0.5000, 0.7486, 0.5000)
Pt (0.7500, 0.2494, 0.0813)
Pt (0.7500, 0.7506, 0.0813)

Principal peaks in the range 10 to 90 degrees two-theta, low angle first:
27.3°, I 79.3; 31.7°, I 31.6; 38.9°, I 21.4; 39.2°, I 35.2; 40.1°, I 11.4; 42.3°, I 100.0; 51.3°, I 17.0; 56.4°, I 14.5; 66.2°, I 16.7; 73.3°, I 20.0